Entry 1:
KZn4SbO7: simulated X-ray powder pattern (a wavelength of 1.5418 Å), based on the PBE geometry in the Materials Project.

Most intense lines, 2θ = 10–90°, low angle first:
2θ (°)	I (rel.)
18.6	51
28.6	27
31.3	68
33.8	100
34.4	100
35.5	20
52.4	28
54.1	26
56.9	42
58.1	14
59.3	43
65.3	18

Crystal structure
a = 6.238 Å, b = 6.238 Å, c = 10.106 Å
α = 90.00°, β = 90.00°, γ = 120.00°
Element x y z (fractional)
K 0.333 0.667 0.000
K 0.667 0.333 0.500
Zn 0.000 0.000 0.430
Zn 0.000 0.000 0.930
Zn 0.173 0.346 0.684
Zn 0.173 0.827 0.684
Zn 0.346 0.173 0.184
Zn 0.654 0.827 0.684
Zn 0.827 0.173 0.184
Zn 0.827 0.654 0.184
Sb 0.333 0.667 0.373
Sb 0.667 0.333 0.873
O 0.000 0.000 0.235
O 0.000 0.000 0.735
O 0.024 0.512 0.258
O 0.178 0.357 0.488
O 0.178 0.822 0.488
O 0.357 0.178 0.988
O 0.488 0.512 0.258
O 0.488 0.976 0.258
O 0.512 0.024 0.758
O 0.512 0.488 0.758
O 0.643 0.822 0.488
O 0.822 0.178 0.988
O 0.822 0.643 0.988
O 0.976 0.488 0.758

=====

Entry 2:
Si: simulated X-ray powder pattern (a wavelength of 1.5418 Å), based on the PBE geometry in the Materials Project.

Most intense lines, 2θ = 10–90°, low angle first:
2θ (°)	I (rel.)
10.3	82
18.1	69
18.3	30
20.6	79
25.2	30
30.0	36
31.5	35
37.0	100
37.8	42
45.7	30
49.2	29
51.2	29

Crystal structure
a = 3.975 Å, b = 5.455 Å, c = 9.015 Å
α = 73.83°, β = 89.30°, γ = 68.76°
Element x y z (fractional)
Si 0.000 0.000 0.000
Si 0.001 0.142 0.729
Si 0.059 0.945 0.489
Si 0.281 0.539 0.171
Si 0.442 0.112 0.117
Si 0.473 0.124 0.571
Si 0.567 0.530 0.548
Si 0.727 0.647 0.290

=====

Entry 3:
Sr3In: simulated X-ray powder pattern (a wavelength of 1.5418 Å), based on the PBE geometry in the Materials Project.

Most intense lines, 2θ = 10–90°, low angle first:
2θ (°)	I (rel.)
17.7	1
20.5	1
29.1	100
34.3	1
41.7	19
51.7	39
60.4	12
68.4	17
76.1	4
83.4	20

Crystal structure
a = 8.669 Å, b = 8.669 Å, c = 8.669 Å
α = 90.00°, β = 90.00°, γ = 90.00°
Element x y z (fractional)
Sr 0.000 0.000 0.000
Sr 0.000 0.500 0.500
Sr 0.250 0.250 0.250
Sr 0.250 0.250 0.750
Sr 0.250 0.750 0.250
Sr 0.250 0.750 0.750
Sr 0.500 0.000 0.500
Sr 0.500 0.500 0.000
Sr 0.750 0.250 0.250
Sr 0.750 0.250 0.750
Sr 0.750 0.750 0.250
Sr 0.750 0.750 0.750
In 0.000 0.000 0.500
In 0.000 0.500 0.000
In 0.500 0.000 0.000
In 0.500 0.500 0.500

=====

Entry 4:
V2MoS4: simulated X-ray powder pattern (a wavelength of 1.5418 Å), based on the PBE geometry in the Materials Project.

Most intense lines, 2θ = 10–90°, low angle first:
2θ (°)	I (rel.)
15.3	88
17.1	71
31.4	50
34.6	48
34.8	100
42.3	35
42.6	43
44.1	71
44.8	32
45.2	85
47.0	51
54.3	42

Crystal structure
a = 12.759 Å, b = 3.245 Å, c = 5.943 Å
α = 90.00°, β = 115.02°, γ = 90.00°
Element x y z (fractional)
V 0.000 0.000 0.000
V 0.242 0.500 0.675
V 0.500 0.500 0.000
V 0.742 0.000 0.675
Mo 0.485 0.000 0.367
Mo 0.985 0.500 0.367
S 0.106 0.000 0.709
S 0.134 0.500 0.228
S 0.349 0.500 0.119
S 0.382 0.000 0.662
S 0.606 0.500 0.709
S 0.634 0.000 0.228
S 0.849 0.000 0.119
S 0.882 0.500 0.662